Structure and simulated PXRD pattern of Na3Ni3AsO8 (the GGA+U geometry in Alexandria; copper Kα).
No peak broadening, texture or thermal motion is included.

Most intense lines, 5° ≤ 2θ ≤ 70°, low angle first:
two_theta, I/Imax
16.20, 100.0
32.74, 16.8
35.47, 14.1
36.46, 10.1
36.69, 19.4
41.05, 29.8
41.62, 56.2
53.04, 11.0
57.41, 16.4
62.30, 15.5

a b c (Å): 5.9617 5.9617 6.4464
angles (deg): 117.36 117.36 59.31
Element x y z (fractional)
Na: 0.0000 0.0000 0.0000
Na: 0.0000 0.5000 0.0000
Na: 0.5000 0.0000 0.0000
Ni: 0.0000 0.5000 0.5000
Ni: 0.5000 0.0000 0.5000
Ni: 0.5000 0.5000 0.5000
As: 0.0000 0.0000 0.5000
O: 0.2165 0.2165 0.6866
O: 0.2186 0.7624 0.6929
O: 0.2376 0.7814 0.3071
O: 0.2708 0.2708 0.3167
O: 0.7292 0.7292 0.6833
O: 0.7624 0.2186 0.6929
O: 0.7814 0.2376 0.3071
O: 0.7835 0.7835 0.3134